Computed XRD peak list of NaCu2Br8 for Cu Ka, from a DFT-relaxed cell (PBE, Alexandria).

Principal peaks in the range 10° ≤ 2θ ≤ 90°, most intense first:
| 2θ (°) | intensity |
| --- | --- |
| 28.20 | 100 |
| 34.48 | 59 |
| 17.19 | 57 |
| 37.17 | 39 |
| 48.48 | 35 |
| 27.61 | 26 |
| 44.72 | 26 |
| 22.04 | 19 |
| 53.26 | 18 |
| 58.06 | 15 |

Cell and atoms:
Lattice parameters (Å, degrees): 8.270 8.270 8.270 127.64 127.64 77.21
Sites, in units of the cell vectors:
Na1 0.000 0.000 0.000
Cu1 0.250 0.750 0.500
Cu2 0.750 0.250 0.500
Br1 0.046 0.530 0.824
Br2 0.222 0.046 0.516
Br3 0.294 0.470 0.516
Br4 0.470 0.954 0.176
Br5 0.530 0.706 0.484
Br6 0.706 0.222 0.176
Br7 0.778 0.294 0.824
Br8 0.954 0.778 0.484